No. 1
This entry pairs a crystal structure of Te4Mo2WS2 with its simulated powder diffraction line list. Radiation: λ = 1.5418 Å (Cu Kα). Structure: the GGA-PBE geometry in the Materials Project.

Main lines, low angle first (10 to 90 degrees two-theta):
Position (°2θ), I (rel.), hkl
11.18, 100, 0 0 4
30.10, 39, 1 0 0
30.23, 25, 0 1 1
32.20, 16, 0 1 4
34.67, 65, 0 1 6
36.19, 81, 1 0 7
41.71, 34, 0 1 10
43.81, 47, 1 0 11
53.48, 44, 1 1 0
75.36, 18, 1 1 17

Structure:
```
data_Te4Mo2WS2
_symmetry_space_group_name_H-M 'P 1'
_symmetry_Int_Tables_number 1
_symmetry_space_group_name_Hall 'P 1'
_cell_length_a 3.429
_cell_length_b 3.429
_cell_length_c 31.652
_cell_angle_alpha 90.00
_cell_angle_beta 90.00
_cell_angle_gamma 120.00
loop_
_atom_site_label
_atom_site_type_symbol
_atom_site_fract_x
_atom_site_fract_y
_atom_site_fract_z
_atom_site_occupancy
Te1 Te 0.000 0.000 0.000 1
Te2 Te 0.000 0.000 0.117 1
Te3 Te 0.333 0.667 0.231 1
Te4 Te 0.333 0.667 0.349 1
Mo1 Mo 0.000 0.000 0.827 1
Mo2 Mo 0.333 0.667 0.059 1
W1 W 0.000 0.000 0.290 1
S1 S 0.333 0.667 0.780 1
S2 S 0.333 0.667 0.875 1
```

No. 2
This entry pairs a crystal structure of TeMoWS3 with its simulated powder diffraction line list. Radiation: λ = 1.5418 Å (Cu Kα). Structure: the GGA-PBE geometry in the Materials Project.

Main lines, low angle first (10 to 90 degrees two-theta):
Position (°2θ), I (rel.), hkl
11.88, 100, 0 0 5
14.26, 22, 0 0 6
31.57, 41, 1 0 0
33.81, 12, 1 0 5
35.87, 19, 0 1 7
37.11, 71, 1 0 8
38.47, 21, 1 0 9
44.96, 35, 0 1 13
46.81, 13, 0 1 14
56.18, 27, 1 1 0

Structure:
```
data_TeMoWS3
_symmetry_space_group_name_H-M 'P 1'
_symmetry_Int_Tables_number 1
_symmetry_space_group_name_Hall 'P 1'
_cell_length_a 3.276
_cell_length_b 3.276
_cell_length_c 37.256
_cell_angle_alpha 90.00
_cell_angle_beta 90.00
_cell_angle_gamma 120.00
loop_
_atom_site_label
_atom_site_type_symbol
_atom_site_fract_x
_atom_site_fract_y
_atom_site_fract_z
_atom_site_occupancy
Te1 Te 0.000 0.000 0.000 1
Te2 Te 0.000 0.000 0.104 1
Mo1 Mo 0.000 0.000 0.240 1
Mo2 Mo 0.667 0.333 0.676 1
W1 W 0.000 0.000 0.864 1
W2 W 0.667 0.333 0.052 1
S1 S 0.000 0.000 0.635 1
S2 S 0.000 0.000 0.717 1
S3 S 0.667 0.333 0.198 1
S4 S 0.667 0.333 0.281 1
S5 S 0.667 0.333 0.823 1
S6 S 0.667 0.333 0.905 1
```

No. 3
This entry pairs a crystal structure of TeMoWS3 with its simulated powder diffraction line list. Radiation: λ = 1.5418 Å (Cu Kα). Structure: the GGA-PBE geometry in the Materials Project.

Main lines, low angle first (10 to 90 degrees two-theta):
Position (°2θ), I (rel.), hkl
11.90, 100, 0 0 5
14.29, 27, 0 0 6
19.10, 13, 0 0 8
31.59, 39, 1 0 0
31.95, 14, 0 1 2
33.85, 15, 1 0 5
37.16, 75, 1 0 8
40.01, 13, 1 0 10
45.04, 35, 0 1 13
56.23, 21, 1 1 0

Structure:
```
data_TeMoWS3
_symmetry_space_group_name_H-M 'P 1'
_symmetry_Int_Tables_number 1
_symmetry_space_group_name_Hall 'P 1'
_cell_length_a 3.272
_cell_length_b 3.272
_cell_length_c 37.180
_cell_angle_alpha 90.00
_cell_angle_beta 90.00
_cell_angle_gamma 120.00
loop_
_atom_site_label
_atom_site_type_symbol
_atom_site_fract_x
_atom_site_fract_y
_atom_site_fract_z
_atom_site_occupancy
Te1 Te 0.000 0.000 0.000 1
Te2 Te 0.000 0.000 0.104 1
Mo1 Mo 0.667 0.333 0.052 1
Mo2 Mo 0.667 0.333 0.428 1
W1 W 0.000 0.000 0.240 1
W2 W 0.000 0.000 0.616 1
S1 S 0.000 0.000 0.386 1
S2 S 0.000 0.000 0.469 1
S3 S 0.667 0.333 0.198 1
S4 S 0.667 0.333 0.281 1
S5 S 0.667 0.333 0.574 1
S6 S 0.667 0.333 0.657 1
```

No. 4
This entry pairs a crystal structure of Te2Mo2WS4 with its simulated powder diffraction line list. Radiation: λ = 1.5418 Å (Cu Kα). Structure: the GGA-PBE geometry in the Materials Project.

Main lines, low angle first (10 to 90 degrees two-theta):
Position (°2θ), I (rel.), hkl
11.60, 100, 0 0 4
14.51, 16, 0 0 5
31.25, 29, 1 0 0
33.43, 18, 0 1 4
36.00, 51, 0 1 6
37.59, 57, 1 0 7
41.28, 17, 1 0 9
43.34, 19, 0 1 10
45.54, 33, 0 1 11
55.63, 29, 1 1 0

Structure:
```
data_Te2Mo2WS4
_symmetry_space_group_name_H-M 'P 1'
_symmetry_Int_Tables_number 1
_symmetry_space_group_name_Hall 'P 1'
_cell_length_a 3.305
_cell_length_b 3.305
_cell_length_c 30.513
_cell_angle_alpha 90.00
_cell_angle_beta 90.00
_cell_angle_gamma 120.00
loop_
_atom_site_label
_atom_site_type_symbol
_atom_site_fract_x
_atom_site_fract_y
_atom_site_fract_z
_atom_site_occupancy
Te1 Te 0.000 0.000 0.000 1
Te2 Te 0.000 0.000 0.126 1
Mo1 Mo 0.000 0.000 0.832 1
Mo2 Mo 0.667 0.333 0.600 1
W1 W 0.667 0.333 0.063 1
S1 S 0.000 0.000 0.550 1
S2 S 0.000 0.000 0.651 1
S3 S 0.667 0.333 0.782 1
S4 S 0.667 0.333 0.882 1
```